Record 1
Starting from a PBE+U-relaxed structure, the powder XRD pattern of CsFeF3 was calculated for copper Kα.
Kinematic intensities with the Lorentz-polarization factor, no thermal factor.

Largest 8 diffraction maxima, in order of rising 2θ, 2θ = 5–70°:
2theta, d_spacing, I/Imax
24.32, 3.660, 32
28.34, 3.149, 100
29.15, 3.064, 66
37.68, 2.387, 30
41.11, 2.196, 46
50.18, 1.818, 20
50.68, 1.801, 28
58.63, 1.575, 28

Atomic structure:
Unit cell a=6.2975 b=6.2975 c=14.8134 alpha=90.00 beta=90.00 gamma=120.00
Space group P6_3/mmc (No. 194)
One atom of each set of equivalent atoms:
Cs 0.0000 0.0000 0.2500 x2
Cs 0.3333 0.6667 0.0961 x4
Fe 0.0000 0.0000 0.0000 x2
Fe 0.3333 0.6667 0.6526 x4
F 0.0444 0.5222 0.7500 x6
F 0.1661 0.3322 0.5787 x12

---

Record 2
Starting from a PBE+U-relaxed structure, the powder XRD pattern of CsFe3F9 was calculated for copper Kα.
Kinematic intensities with the Lorentz-polarization factor, no thermal factor.

Largest 8 diffraction maxima, in order of rising 2θ, 2θ = 5–70°:
2theta, d_spacing, I/Imax
26.18, 3.404, 69
26.94, 3.309, 100
32.53, 2.753, 43
47.13, 1.928, 20
47.60, 1.910, 33
53.86, 1.702, 27
55.13, 1.666, 20
68.12, 1.376, 20

Atomic structure:
Unit cell a=7.6419 b=7.6419 c=3.9696 alpha=90.00 beta=90.00 gamma=120.00
Space group P6/mmm (No. 191)
One atom of each set of equivalent atoms:
Cs 0.0000 0.0000 0.0000 x1
Fe 0.0000 0.5000 0.5000 x3
F 0.0000 0.5000 0.0000 x3
F 0.2053 0.4107 0.5000 x6

---

Record 3
Starting from a PBE+U-relaxed structure, the powder XRD pattern of CsKFeF6 was calculated for copper Kα.
Kinematic intensities with the Lorentz-polarization factor, no thermal factor.

Largest 8 diffraction maxima, in order of rising 2θ, 2θ = 5–70°:
2theta, d_spacing, I/Imax
17.40, 5.098, 28
22.11, 4.020, 100
28.05, 3.181, 75
31.47, 2.843, 15
42.66, 2.120, 56
45.10, 2.010, 17
53.96, 1.699, 16
63.81, 1.459, 15

Atomic structure:
Unit cell a=5.6857 b=5.6857 c=11.5124 alpha=90.00 beta=90.00 gamma=90.00
Space group P4_2nm (No. 102)
One atom of each set of equivalent atoms:
Cs 0.0000 0.0000 0.0000 x2
K 0.0000 0.0000 0.6724 x2
Fe 0.0000 0.0000 0.3371 x2
F 0.1554 0.1554 0.4554 x4
F 0.1666 0.1666 0.2248 x4
F 0.2248 0.7752 0.3322 x4

---

Record 4
Starting from a PBE+U-relaxed structure, the powder XRD pattern of Cs4KLiFe2F12 was calculated for copper Kα.
Kinematic intensities with the Lorentz-polarization factor, no thermal factor.

Largest 8 diffraction maxima, in order of rising 2θ, 2θ = 5–70°:
2theta, d_spacing, I/Imax
25.44, 3.502, 100
27.67, 3.223, 94
35.17, 2.552, 21
37.94, 2.372, 66
47.60, 1.910, 29
48.94, 1.861, 18
57.14, 1.612, 20
63.54, 1.464, 18

Atomic structure:
Unit cell a=6.4478 b=6.4478 c=31.4692 alpha=90.00 beta=90.00 gamma=120.00
Space group R-3m (No. 166, hexagonal axes)
One atom of each set of equivalent atoms:
Cs 0.0000 0.0000 0.1333 x6
Cs 0.0000 0.0000 0.2850 x6
K 0.0000 0.0000 0.0000 x3
Li 0.0000 0.0000 0.5000 x3
Fe 0.0000 0.0000 0.4157 x6
F 0.0432 0.5216 0.2851 x18
F 0.0574 0.5287 0.1226 x18

---

Record 5
Starting from a PBE+U-relaxed structure, the powder XRD pattern of Cs2NaFe2F7 was calculated for copper Kα.
Kinematic intensities with the Lorentz-polarization factor, no thermal factor.

Largest 8 diffraction maxima, in order of rising 2θ, 2θ = 5–70°:
2theta, d_spacing, I/Imax
23.81, 3.737, 69
28.60, 3.121, 100
29.39, 3.039, 78
31.53, 2.837, 21
37.98, 2.369, 37
42.05, 2.149, 56
48.91, 1.862, 23
51.65, 1.770, 38

Atomic structure:
Unit cell a=6.0773 b=6.0774 c=11.7468 alpha=90.00 beta=104.94 gamma=90.00
Space group C2/m (No. 12)
One atom of each set of equivalent atoms:
Cs 0.1796 0.0000 0.3611 x4
Na 0.0000 0.0000 0.0000 x2
Fe 0.0877 0.5000 0.1765 x4
F 0.0000 0.5000 0.0000 x2
F 0.1666 0.2500 0.8322 x8
F 0.1774 0.5000 0.3568 x4

---

Record 6
Starting from a PBE+U-relaxed structure, the powder XRD pattern of CsNpFeF6 was calculated for copper Kα.
Kinematic intensities with the Lorentz-polarization factor, no thermal factor.

Largest 8 diffraction maxima, in order of rising 2θ, 2θ = 5–70°:
2theta, d_spacing, I/Imax
14.21, 6.234, 44
16.58, 5.347, 40
23.16, 3.841, 44
26.46, 3.368, 100
27.84, 3.204, 29
28.64, 3.117, 45
42.81, 2.112, 31
47.26, 1.924, 45

Atomic structure:
Unit cell a=7.6715 b=8.0056 c=10.6942 alpha=90.00 beta=90.00 gamma=90.00
Space group Imma (No. 74)
One atom of each set of equivalent atoms:
Cs 0.0000 0.2500 0.0924 x4
Np 0.0000 0.0000 0.5000 x4
Fe 0.2500 0.2500 0.7500 x4
F 0.0000 0.2500 0.3878 x4
F 0.0000 0.2500 0.6618 x4
F 0.2377 0.0634 0.8857 x16